Structure and theoretical powder XRD pattern of Ce3VRh12 (DFT lattice parameters and positions (PBE); CuKα).
Lines closer than 0.1° are merged.

Cell and atoms:
Lattice parameters (Å, degrees): 3.9949 3.9949 16.0749 90.00 90.00 90.00
Element x y z (fractional)
Ce1 0.0000 0.0000 0.0000
Ce2 0.0000 0.0000 0.2561
Ce3 0.0000 0.0000 0.7439
V1 0.0000 0.0000 0.5000
Rh1 0.0000 0.5000 0.1290
Rh2 0.0000 0.5000 0.3900
Rh3 0.0000 0.5000 0.6100
Rh4 0.0000 0.5000 0.8710
Rh5 0.5000 0.0000 0.1290
Rh6 0.5000 0.0000 0.3900
Rh7 0.5000 0.0000 0.6100
Rh8 0.5000 0.0000 0.8710
Rh9 0.5000 0.5000 0.0000
Rh10 0.5000 0.5000 0.2592
Rh11 0.5000 0.5000 0.5000
Rh12 0.5000 0.5000 0.7408

Peak list (12 most intense, 10 to 90 degrees two-theta, by angle)
d [Å]  I_rel
2.499  4
2.311  100
2.296  2
2.009  14
1.997  34
1.507  3
1.417  18
1.412  11
1.298  3
1.210  8
1.205  24
1.156  9